No. 1
Computed powder diffractogram
Compound: K3SnHF8
Radiation: Cu Kα, 1.54184 Å
Structure: a cell relaxed with GGA-PBE

Largest 12 diffraction maxima, in order of falling intensity, 2θ = 5–70°:
26.2°, 3.400 Å, I 100
28.1°, 3.173 Å, I 95
25.6°, 3.477 Å, I 93
16.9°, 5.236 Å, I 91
21.1°, 4.209 Å, I 83
27.0°, 3.300 Å, I 80
19.6°, 4.526 Å, I 54
23.3°, 3.821 Å, I 50
17.5°, 5.055 Å, I 49
43.0°, 2.105 Å, I 46
17.8°, 4.979 Å, I 43
28.6°, 3.124 Å, I 43

Cell and atoms:
```
data_K3SnHF8
_chemical_formula_sum 'K12 Sn4 H4 F32'
_cell_length_a 9.059
_cell_length_b 14.264
_cell_length_c 6.960
_cell_angle_alpha 90.00
_cell_angle_beta 92.40
_cell_angle_gamma 90.00
_symmetry_space_group_name_H-M 'C 1 2/c 1'
_symmetry_Int_Tables_number 15
loop_
_symmetry_equiv_pos_as_xyz
'x,y,z'
'-x,-y,-z'
'-x,y,-z+1/2'
'x,-y,z+1/2'
'x+1/2,y+1/2,z'
'-x+1/2,-y+1/2,-z'
'-x+1/2,y+1/2,-z+1/2'
'x+1/2,-y+1/2,z+1/2'
loop_
_atom_site_label
_atom_site_fract_x
_atom_site_fract_y
_atom_site_fract_z
K1 0.000 0.155 0.250
K2 0.224 0.401 0.221
Sn1 0.000 0.322 0.750
H1 0.000 0.000 0.000
F1 0.000 0.182 0.750
F2 0.000 0.463 0.750
F3 0.035 0.320 0.465
F4 0.122 0.019 0.485
F5 0.218 0.319 0.813
```

=====

No. 2
Computed powder diffractogram
Compound: K2TiHF7
Radiation: Cu Kα, 1.54184 Å
Structure: a cell relaxed with GGA-PBE

Largest 12 diffraction maxima, in order of falling intensity, 2θ = 5–70°:
41.6°, 2.169 Å, I 100
26.7°, 3.343 Å, I 83
9.8°, 9.047 Å, I 40
20.5°, 4.337 Å, I 39
28.9°, 3.086 Å, I 35
17.4°, 5.099 Å, I 31
30.3°, 2.954 Å, I 30
23.8°, 3.736 Å, I 26
35.2°, 2.549 Å, I 21
29.3°, 3.050 Å, I 20
42.6°, 2.124 Å, I 20
49.9°, 1.827 Å, I 19

Cell and atoms:
```
data_K2TiHF7
_chemical_formula_sum 'K4 Ti2 H2 F14'
_cell_length_a 6.189
_cell_length_b 6.173
_cell_length_c 9.186
_cell_angle_alpha 90.00
_cell_angle_beta 99.97
_cell_angle_gamma 90.00
_symmetry_space_group_name_H-M 'P 1 21/m 1'
_symmetry_Int_Tables_number 11
loop_
_symmetry_equiv_pos_as_xyz
'x,y,z'
'-x,-y,-z'
'-x,y+1/2,-z'
'x,-y+1/2,z'
loop_
_atom_site_label
_atom_site_fract_x
_atom_site_fract_y
_atom_site_fract_z
K1 0.181 0.250 0.173
K2 0.243 0.750 0.496
Ti1 0.303 0.250 0.714
H1 0.344 0.750 0.033
F1 0.091 0.035 0.721
F2 0.184 0.750 0.023
F3 0.218 0.250 0.506
F4 0.406 0.250 0.924
F5 0.487 0.533 0.308
```

=====

No. 3
Computed powder diffractogram
Compound: Li2MgZr2H4O4F12
Radiation: Cu Kα, 1.54184 Å
Structure: a cell relaxed with GGA-PBE

Largest 12 diffraction maxima, in order of falling intensity, 2θ = 5–70°:
13.5°, 6.574 Å, I 100
14.9°, 5.950 Å, I 95
16.7°, 5.294 Å, I 33
26.9°, 3.309 Å, I 24
27.1°, 3.287 Å, I 21
30.0°, 2.975 Å, I 17
45.8°, 1.983 Å, I 16
28.0°, 3.191 Å, I 15
26.7°, 3.345 Å, I 15
47.2°, 1.925 Å, I 14
28.1°, 3.177 Å, I 14
41.2°, 2.192 Å, I 14

Cell and atoms:
```
data_Li2MgZr2H4O4F12
_chemical_formula_sum 'Li2 Mg1 Zr2 H4 O4 F12'
_cell_length_a 6.908
_cell_length_b 6.932
_cell_length_c 7.537
_cell_angle_alpha 64.40
_cell_angle_beta 89.85
_cell_angle_gamma 73.85
_symmetry_space_group_name_H-M 'P -1'
_symmetry_Int_Tables_number 2
loop_
_symmetry_equiv_pos_as_xyz
'x,y,z'
'-x,-y,-z'
loop_
_atom_site_label
_atom_site_fract_x
_atom_site_fract_y
_atom_site_fract_z
Li1 0.072 0.473 0.325
Mg1 0.500 0.000 0.000
Zr1 0.001 0.009 0.250
H1 0.248 0.451 0.862
H2 0.464 0.439 0.798
O1 0.382 0.345 0.872
O2 0.398 0.347 0.331
F1 0.035 0.659 0.812
F2 0.043 0.793 0.082
F3 0.062 0.671 0.446
F4 0.178 0.972 0.515
F5 0.292 0.971 0.832
F6 0.301 0.965 0.196
```

=====

No. 4
Computed powder diffractogram
Compound: LiPH4NO3F
Radiation: Cu Kα, 1.54184 Å
Structure: a cell relaxed with GGA-PBE

Largest 12 diffraction maxima, in order of falling intensity, 2θ = 5–70°:
20.2°, 4.397 Å, I 100
24.6°, 3.617 Å, I 60
30.2°, 2.960 Å, I 52
24.5°, 3.629 Å, I 46
32.4°, 2.763 Å, I 43
18.5°, 4.787 Å, I 42
25.4°, 3.502 Å, I 39
35.4°, 2.535 Å, I 35
34.4°, 2.605 Å, I 34
29.5°, 3.032 Å, I 21
35.6°, 2.521 Å, I 16
41.3°, 2.185 Å, I 12

Cell and atoms:
```
data_LiPH4NO3F
_chemical_formula_sum 'Li4 P4 H16 N4 O12 F4'
_cell_length_a 5.526
_cell_length_b 5.071
_cell_length_c 14.528
_cell_angle_alpha 90.00
_cell_angle_beta 90.14
_cell_angle_gamma 90.00
_symmetry_space_group_name_H-M 'P 1 21/c 1'
_symmetry_Int_Tables_number 14
loop_
_symmetry_equiv_pos_as_xyz
'x,y,z'
'-x,-y,-z'
'-x,y+1/2,-z+1/2'
'x,-y+1/2,z+1/2'
loop_
_atom_site_label
_atom_site_fract_x
_atom_site_fract_y
_atom_site_fract_z
Li1 0.185 0.055 0.245
P1 0.298 0.559 0.144
H1 0.067 0.007 0.898
H2 0.274 0.020 0.983
H3 0.298 0.725 0.403
H4 0.355 0.091 0.876
N1 0.248 0.530 0.415
O1 0.127 0.079 0.710
O2 0.240 0.649 0.628
O3 0.434 0.004 0.340
F1 0.245 0.079 0.545
```